# 1
For PuPa4Os, the PBE geometry in Alexandria gives the computed powder diffraction line list in this record (copper Kα).
Neutral-atom scattering factors, no anomalous dispersion.

The 10 most intense peaks (10 to 90 degrees two-theta), most intense first:
29.72°, I 100; 39.62°, I 63; 50.25°, I 57; 20.84°, I 53; 33.23°, I 37; 42.41°, I 28; 42.66°, I 21; 61.72°, I 16; 79.69°, I 13; 63.64°, I 13

Structure:
Lattice parameters (Å, degrees): 7.370 7.370 7.370 109.32 109.32 109.77
Sites, in units of the cell vectors:
Pu 0.000 0.000 0.000
Pu 0.750 0.250 0.500
Pa 0.156 0.465 0.691
Pa 0.215 0.024 0.809
Pa 0.215 0.406 0.191
Pa 0.312 0.010 0.302
Pa 0.708 0.010 0.698
Pa 0.760 0.562 0.802
Pa 0.760 0.958 0.198
Pa 0.774 0.465 0.309
Os 0.247 0.747 0.500
Os 0.497 0.497 0.000



# 2
For PmTm6, the PBE geometry in Alexandria gives the computed powder diffraction line list in this record (copper Kα).
Neutral-atom scattering factors, no anomalous dispersion.

The 10 most intense peaks (10 to 90 degrees two-theta), most intense first:
28.87°, I 100; 35.22°, I 84; 31.55°, I 79; 32.09°, I 63; 56.41°, I 53; 32.99°, I 33; 37.33°, I 30; 39.50°, I 28; 66.70°, I 28; 44.39°, I 24

Structure:
Lattice parameters (Å, degrees): 6.453 6.453 10.861 90.00 90.00 90.00
Sites, in units of the cell vectors:
Pm 0.250 0.750 0.000
Pm 0.750 0.250 0.000
Tm 0.081 0.581 0.364
Tm 0.081 0.919 0.636
Tm 0.250 0.250 0.143
Tm 0.250 0.250 0.857
Tm 0.419 0.581 0.636
Tm 0.419 0.919 0.364
Tm 0.581 0.081 0.636
Tm 0.581 0.419 0.364
Tm 0.750 0.750 0.143
Tm 0.750 0.750 0.857
Tm 0.919 0.081 0.364
Tm 0.919 0.419 0.636



# 3
For CsTl5In, the PBE geometry in Alexandria gives the computed powder diffraction line list in this record (copper Kα).
Neutral-atom scattering factors, no anomalous dispersion.

The 10 most intense peaks (10 to 90 degrees two-theta), most intense first:
30.65°, I 100; 63.37°, I 35; 37.45°, I 33; 35.45°, I 22; 49.65°, I 18; 31.39°, I 16; 87.93°, I 13; 54.01°, I 12; 55.59°, I 11; 63.81°, I 9

Structure:
Lattice parameters (Å, degrees): 4.802 4.802 11.399 90.00 90.00 90.00
Sites, in units of the cell vectors:
Cs 0.000 0.000 0.000
Tl 0.000 0.000 0.500
Tl 0.000 0.500 0.284
Tl 0.000 0.500 0.716
Tl 0.500 0.000 0.284
Tl 0.500 0.000 0.716
In 0.500 0.500 0.500



# 4
For La2Tb6YEr3, the PBE geometry in Alexandria gives the computed powder diffraction line list in this record (copper Kα).
Neutral-atom scattering factors, no anomalous dispersion.

The 10 most intense peaks (10 to 90 degrees two-theta), most intense first:
30.58°, I 100; 35.45°, I 51; 60.65°, I 42; 51.01°, I 36; 85.82°, I 16; 63.66°, I 12; 83.13°, I 12; 75.03°, I 6; 83.19°, I 6; 34.00°, I 1

Structure:
Lattice parameters (Å, degrees): 6.203 6.203 11.869 94.99 94.99 120.00
Sites, in units of the cell vectors:
La 0.167 0.833 0.000
La 0.833 0.167 0.000
Tb 0.082 0.414 0.744
Tb 0.253 0.253 0.256
Tb 0.414 0.082 0.744
Tb 0.586 0.918 0.256
Tb 0.747 0.747 0.744
Tb 0.918 0.586 0.256
Y 0.500 0.500 0.000
Er 0.000 0.000 0.500
Er 0.334 0.666 0.500
Er 0.666 0.334 0.500



# 5
For Sc2IrAu, the PBE geometry in Alexandria gives the computed powder diffraction line list in this record (copper Kα).
Neutral-atom scattering factors, no anomalous dispersion.

The 10 most intense peaks (10 to 90 degrees two-theta), most intense first:
37.61°, I 100; 38.64°, I 93; 38.88°, I 91; 26.18°, I 49; 26.52°, I 48; 47.48°, I 43; 27.91°, I 42; 68.40°, I 34; 68.89°, I 33; 70.92°, I 31

Structure:
Lattice parameters (Å, degrees): 3.196 3.404 6.722 90.00 90.09 90.00
Sites, in units of the cell vectors:
Sc 0.001 0.000 0.235
Sc 0.999 0.000 0.765
Ir 0.500 0.500 0.000
Au 0.500 0.500 0.500



# 6
For Pu2CdPt5, the PBE geometry in Alexandria gives the computed powder diffraction line list in this record (copper Kα).
Neutral-atom scattering factors, no anomalous dispersion.

The 10 most intense peaks (10 to 90 degrees two-theta), most intense first:
37.13°, I 100; 39.80°, I 42; 70.50°, I 24; 65.10°, I 16; 57.55°, I 13; 49.25°, I 10; 64.65°, I 8; 79.09°, I 8; 44.15°, I 7; 33.55°, I 7

Structure:
Lattice parameters (Å, degrees): 5.849 5.849 5.849 113.59 113.59 101.51
Sites, in units of the cell vectors:
Pu 0.000 0.500 0.500
Pu 0.500 0.000 0.500
Cd 0.427 0.427 0.000
Pt 0.029 0.029 0.000
Pt 0.523 0.523 0.558
Pt 0.523 0.965 0.000
Pt 0.965 0.523 0.000
Pt 0.965 0.965 0.442